Structure and simulated X-ray powder pattern of CoNiP2O8 (a PBE+U-relaxed structure; a wavelength of 1.5418 Å).
Kinematic intensities with the Lorentz-polarization factor, no thermal factor.

Cell and atoms:
a = 4.787 Å, b = 5.803 Å, c = 9.883 Å
α = 90.00°, β = 90.30°, γ = 90.00°
Fractional positions:
Co1 0.055 0.250 0.221
Co2 0.945 0.750 0.779
Ni1 0.453 0.250 0.728
Ni2 0.547 0.750 0.272
P1 0.079 0.750 0.093
P2 0.400 0.750 0.598
P3 0.600 0.250 0.402
P4 0.921 0.250 0.907
O1 0.169 0.750 0.943
O2 0.227 0.542 0.169
O3 0.227 0.958 0.169
O4 0.236 0.250 0.896
O5 0.251 0.545 0.671
O6 0.251 0.955 0.671
O7 0.280 0.250 0.382
O8 0.342 0.750 0.446
O9 0.658 0.250 0.554
O10 0.720 0.750 0.618
O11 0.749 0.045 0.329
O12 0.749 0.455 0.329
O13 0.764 0.750 0.104
O14 0.773 0.042 0.831
O15 0.773 0.458 0.831
O16 0.831 0.250 0.057

Peak list (10 most intense, 2θ = 10–80°, in order of rising 2θ)
2theta, d/Å, I (rel.), (hkl)
18.0, 4.942, 74, 0 0 2
20.6, 4.308, 82, 1 0 1
25.8, 3.459, 100, 1 1 1
30.8, 2.901, 75, 0 2 0
36.5, 2.463, 49, 1 1 -3
36.6, 2.453, 51, 1 1 3
37.4, 2.407, 27, 1 2 1
38.7, 2.327, 19, 2 0 -1
49.4, 1.846, 17, 2 2 0
58.2, 1.585, 17, 0 1 6